Pm6CdAu2: calculated powder diffraction line list (λ = 1.5418 Å (Cu Kα)), based on a cell relaxed with GGA-PBE.

Crystal structure
Cell: 16.2836 7.3088 5.1397 Å, 90.00 108.28 90.00°
Space group C2/m (No. 12)
Asymmetric unit:
Pm  0.0000  0.2375  0.0000
Pm  0.1701  0.2447  0.6701
Cd  0.0000  0.5000  0.5000
Au  0.1675  0.0000  0.1677

The 12 most intense peaks (5° ≤ 2θ ≤ 70°), sorted by position:
- 2θ = 21.1°, rel. 38, hkl 1 1 -1
- 2θ = 24.4°, rel. 7, hkl 2 0 1
- 2θ = 34.8°, rel. 100, hkl 6 0 0
- 2θ = 34.9°, rel. 20, hkl 2 0 -2
- 2θ = 41.0°, rel. 10, hkl 3 3 0
- 2θ = 41.1°, rel. 10, hkl 7 1 -1
- 2θ = 49.9°, rel. 7, hkl 0 4 0
- 2θ = 50.1°, rel. 7, hkl 4 0 2
- 2θ = 50.2°, rel. 7, hkl 8 0 -2
- 2θ = 62.3°, rel. 22, hkl 8 2 1
- 2θ = 62.5°, rel. 15, hkl 0 2 3
- 2θ = 62.6°, rel. 7, hkl 6 2 -3



Ti2NiRh: calculated powder diffraction line list (λ = 1.5418 Å (Cu Kα)), based on a cell relaxed with GGA-PBE.

Crystal structure
Cell: 3.0703 3.0703 6.0895 Å, 90.00 90.00 90.00°
Space group P4/mmm (No. 123)
Asymmetric unit:
Ti  0.0000  0.0000  0.2399
Ni  0.5000  0.5000  0.0000
Rh  0.5000  0.5000  0.5000

The 12 most intense peaks (5° ≤ 2θ ≤ 70°), sorted by position:
- 2θ = 14.5°, rel. 6, hkl 0 0 1
- 2θ = 29.1°, rel. 11, hkl 1 0 0
- 2θ = 29.3°, rel. 6, hkl 0 0 2
- 2θ = 32.7°, rel. 6, hkl 1 0 1
- 2θ = 41.6°, rel. 51, hkl 1 1 0
- 2θ = 41.8°, rel. 100, hkl 1 0 2
- 2θ = 51.7°, rel. 5, hkl 1 1 2
- 2θ = 60.3°, rel. 16, hkl 2 0 0
- 2θ = 60.8°, rel. 8, hkl 0 0 4
- 2θ = 68.3°, rel. 2, hkl 2 1 0
- 2θ = 68.4°, rel. 2, hkl 2 0 2
- 2θ = 68.8°, rel. 2, hkl 1 0 4



Ba8PtS3I4: calculated powder diffraction line list (λ = 1.5418 Å (Cu Kα)), based on a cell relaxed with GGA-PBE.

Crystal structure
Cell: 9.3692 9.3692 24.8191 Å, 90.00 90.00 120.00°
Space group R-3m (No. 166, hexagonal axes)
Asymmetric unit:
Ba  0.0000  0.0000  0.2344
Ba  0.0034  0.5017  0.2343
Pt  0.0000  0.0000  0.5000
S  0.0000  0.5000  0.5000
I  0.0000  0.0000  0.0000
I  0.0000  0.5000  0.0000

The 12 most intense peaks (5° ≤ 2θ ≤ 70°), sorted by position:
- 2θ = 26.2°, rel. 100, hkl 0 2 4
- 2θ = 28.4°, rel. 13, hkl 2 0 5
- 2θ = 36.5°, rel. 32, hkl 2 0 8
- 2θ = 38.4°, rel. 39, hkl 2 2 0
- 2θ = 47.1°, rel. 21, hkl 4 0 4
- 2θ = 51.2°, rel. 11, hkl 2 2 9
- 2θ = 53.0°, rel. 7, hkl 0 2 13
- 2θ = 54.0°, rel. 10, hkl 0 4 8
- 2θ = 59.6°, rel. 9, hkl 2 2 12
- 2θ = 62.4°, rel. 17, hkl 2 4 4
- 2θ = 68.2°, rel. 13, hkl 4 2 8
- 2θ = 69.5°, rel. 10, hkl 6 0 0



Li2ThF8: calculated powder diffraction line list (λ = 1.5418 Å (Cu Kα)), based on a cell relaxed with GGA-PBE.

Crystal structure
Cell: 5.5155 5.5155 11.3427 Å, 90.00 90.00 90.00°
Space group I422 (No. 97)
Asymmetric unit:
Li  0.0000  0.5000  0.2500
Th  0.0000  0.0000  0.0000
F  0.1333  0.3110  0.8760

The 12 most intense peaks (5° ≤ 2θ ≤ 70°), sorted by position:
- 2θ = 15.6°, rel. 26, hkl 0 0 2
- 2θ = 17.9°, rel. 100, hkl 1 0 1
- 2θ = 22.8°, rel. 14, hkl 1 1 0
- 2θ = 27.8°, rel. 33, hkl 1 1 2
- 2θ = 28.6°, rel. 24, hkl 1 0 3
- 2θ = 36.2°, rel. 14, hkl 2 0 2
- 2θ = 37.3°, rel. 26, hkl 2 1 1
- 2θ = 39.3°, rel. 16, hkl 1 1 4
- 2θ = 43.8°, rel. 24, hkl 2 1 3
- 2θ = 45.9°, rel. 14, hkl 2 0 4
- 2θ = 55.0°, rel. 23, hkl 2 1 5
- 2θ = 61.1°, rel. 8, hkl 3 2 1



Pr3IrRh8: calculated powder diffraction line list (λ = 1.5418 Å (Cu Kα)), based on a cell relaxed with GGA-PBE.

Crystal structure
Cell: 5.3707 5.3707 26.4427 Å, 90.00 90.00 120.00°
Space group R3m (No. 160, hexagonal axes)
Asymmetric unit:
Pr  0.0000  0.0000  0.0000
Pr  0.0000  0.0000  0.1312
Pr  0.0000  0.0000  0.5201
Ir  0.0000  0.0000  0.6511
Rh  0.0000  0.0000  0.3171
Rh  0.0000  0.0000  0.8186
Rh  0.0007  0.5004  0.5702
Rh  0.0017  0.5008  0.0666

The 12 most intense peaks (5° ≤ 2θ ≤ 70°), sorted by position:
- 2θ = 30.5°, rel. 9, hkl 1 0 7
- 2θ = 33.3°, rel. 23, hkl 0 1 8
- 2θ = 33.4°, rel. 30, hkl 1 1 0
- 2θ = 39.3°, rel. 100, hkl 1 1 6
- 2θ = 39.3°, rel. 35, hkl 2 0 2
- 2θ = 41.0°, rel. 14, hkl 0 0 12
- 2θ = 41.1°, rel. 27, hkl 0 2 4
- 2θ = 45.8°, rel. 8, hkl 1 1 9
- 2θ = 59.6°, rel. 14, hkl 3 0 0
- 2θ = 63.1°, rel. 7, hkl 1 1 15
- 2θ = 63.6°, rel. 29, hkl 0 3 6
- 2θ = 69.8°, rel. 10, hkl 0 2 16



Ag3Hg: calculated powder diffraction line list (λ = 1.5418 Å (Cu Kα)), based on a cell relaxed with GGA-PBE.

Crystal structure
Cell: 3.0438 3.0438 28.8731 Å, 90.00 90.00 120.00°
Space group R-3m (No. 166, hexagonal axes)
Asymmetric unit:
Ag  0.0000  0.0000  0.0000
Ag  0.0000  0.0000  0.2536
Hg  0.0000  0.0000  0.5000

The 12 most intense peaks (5° ≤ 2θ ≤ 70°), sorted by position:
- 2θ = 9.2°, rel. 12, hkl 0 0 3
- 2θ = 18.4°, rel. 5, hkl 0 0 6
- 2θ = 27.8°, rel. 4, hkl 0 0 9
- 2θ = 34.2°, rel. 4, hkl 1 0 1
- 2θ = 34.6°, rel. 3, hkl 0 1 2
- 2θ = 36.3°, rel. 100, hkl 1 0 4
- 2θ = 37.4°, rel. 30, hkl 0 0 12
- 2θ = 37.5°, rel. 4, hkl 0 1 5
- 2θ = 42.5°, rel. 63, hkl 0 1 8
- 2θ = 60.9°, rel. 21, hkl 1 1 0
- 2θ = 62.4°, rel. 19, hkl 1 0 16
- 2θ = 68.2°, rel. 3, hkl 0 0 21



Pr2Dy2Ho15: calculated powder diffraction line list (λ = 1.5418 Å (Cu Kα)), based on a cell relaxed with GGA-PBE.

Crystal structure
Cell: 11.1663 11.1663 17.4964 Å, 90.00 90.00 120.00°
Space group R-3m (No. 166, hexagonal axes)
Asymmetric unit:
Pr  0.0000  0.0000  0.1181
Dy  0.0000  0.0000  0.3298
Ho  0.0000  0.3037  0.0000
Ho  0.0000  0.5000  0.5000
Ho  0.0151  0.5076  0.1384

The 12 most intense peaks (5° ≤ 2θ ≤ 70°), sorted by position:
- 2θ = 27.5°, rel. 35, hkl 0 2 4
- 2θ = 27.7°, rel. 32, hkl 3 0 0
- 2θ = 30.7°, rel. 40, hkl 0 0 6
- 2θ = 31.6°, rel. 49, hkl 2 0 5
- 2θ = 31.7°, rel. 100, hkl 0 3 3
- 2θ = 32.1°, rel. 58, hkl 2 2 0
- 2θ = 35.7°, rel. 86, hkl 2 2 3
- 2θ = 51.5°, rel. 18, hkl 3 3 3
- 2θ = 55.2°, rel. 25, hkl 0 3 9
- 2θ = 56.8°, rel. 28, hkl 0 4 8
- 2θ = 57.1°, rel. 33, hkl 6 0 0
- 2θ = 66.3°, rel. 19, hkl 0 6 6



Pm3Sm3Ho2: calculated powder diffraction line list (λ = 1.5418 Å (Cu Kα)), based on a cell relaxed with GGA-PBE.

Crystal structure
Cell: 5.7987 14.6484 6.3377 Å, 90.00 90.00 90.00°
Space group Pmmn (No. 59, origin choice 2)
Asymmetric unit:
Pm  0.2500  0.1244  0.1676
Pm  0.2500  0.7500  0.6628
Sm  0.2500  0.0005  0.6669
Sm  0.2500  0.2500  0.6714
Ho  0.2500  0.6253  0.1644

The 12 most intense peaks (5° ≤ 2θ ≤ 70°), sorted by position:
- 2θ = 28.1°, rel. 24, hkl 0 4 1
- 2θ = 30.8°, rel. 25, hkl 2 0 0
- 2θ = 32.2°, rel. 100, hkl 1 0 2
- 2θ = 42.2°, rel. 16, hkl 2 4 1
- 2θ = 49.8°, rel. 7, hkl 0 8 0
- 2θ = 49.8°, rel. 13, hkl 0 4 3
- 2θ = 55.7°, rel. 21, hkl 3 0 2
- 2θ = 58.2°, rel. 3, hkl 0 0 4
- 2θ = 59.7°, rel. 23, hkl 2 8 0
- 2θ = 60.6°, rel. 16, hkl 1 8 2
- 2θ = 64.3°, rel. 3, hkl 4 0 0
- 2θ = 67.3°, rel. 4, hkl 2 0 4



Cs3Nb2PbO8: calculated powder diffraction line list (λ = 1.5418 Å (Cu Kα)), based on a cell relaxed with GGA-PBE.

Crystal structure
Cell: 6.4695 6.4695 8.4663 Å, 90.00 90.00 120.00°
Space group P-3m1 (No. 164)
Asymmetric unit:
Cs  0.0000  0.0000  0.0000
Cs  0.3333  0.6667  0.7094
Nb  0.3333  0.6667  0.2630
Pb  0.0000  0.0000  0.5000
O  0.1719  0.3437  0.3324
O  0.3333  0.6667  0.0481

The 12 most intense peaks (5° ≤ 2θ ≤ 70°), sorted by position:
- 2θ = 10.4°, rel. 14, hkl 0 0 1
- 2θ = 26.4°, rel. 100, hkl 0 1 2
- 2θ = 27.6°, rel. 100, hkl 1 1 0
- 2θ = 35.6°, rel. 6, hkl 1 0 3
- 2θ = 38.5°, rel. 44, hkl 2 0 2
- 2θ = 42.7°, rel. 8, hkl 0 0 4
- 2θ = 48.0°, rel. 39, hkl 1 2 2
- 2θ = 48.8°, rel. 21, hkl 3 0 0
- 2θ = 51.6°, rel. 26, hkl 1 1 4
- 2θ = 56.9°, rel. 17, hkl 2 2 0
- 2θ = 63.8°, rel. 17, hkl 3 1 2
- 2θ = 66.8°, rel. 12, hkl 3 0 4



Ce7Bi3Pb: calculated powder diffraction line list (λ = 1.5418 Å (Cu Kα)), based on a cell relaxed with GGA-PBE.

Crystal structure
Cell: 6.1886 9.2471 12.3688 Å, 90.00 90.00 90.00°
Space group Immm (No. 71)
Asymmetric unit:
Ce  0.0000  0.0000  0.0000
Ce  0.0000  0.1454  0.5000
Ce  0.0000  0.3583  0.2459
Bi  0.0000  0.0000  0.2594
Bi  0.0000  0.5000  0.0000
Pb  0.0000  0.5000  0.5000

The 12 most intense peaks (5° ≤ 2θ ≤ 70°), sorted by position:
- 2θ = 19.2°, rel. 25, hkl 0 2 0
- 2θ = 28.9°, rel. 100, hkl 2 0 0
- 2θ = 34.9°, rel. 23, hkl 2 2 0
- 2θ = 35.6°, rel. 74, hkl 1 3 2
- 2θ = 41.3°, rel. 38, hkl 2 0 4
- 2θ = 45.9°, rel. 11, hkl 2 2 4
- 2θ = 47.4°, rel. 5, hkl 1 4 3
- 2θ = 53.8°, rel. 9, hkl 1 5 2
- 2θ = 55.6°, rel. 41, hkl 3 3 2
- 2θ = 59.8°, rel. 13, hkl 4 0 0
- 2θ = 67.7°, rel. 17, hkl 4 0 4
- 2θ = 68.0°, rel. 12, hkl 2 6 0